For Sr2Ti3O8, DFT lattice parameters and positions (PBE) gives the calculated powder diffraction line list in this record (λ = 1.5418 Å (Cu Kα)).

Main lines, sorted by position (2θ = 10–90°):
2θ (°)  I/Imax  h k l
13.8  100  0 0 2
30.5  55  0 1 -3
30.6  55  0 1 3
31.2  48  1 0 -3
31.5  49  1 0 3
32.3  83  1 1 0
33.0  27  1 1 -1
42.4  41  0 0 6
45.2  44  0 2 0
47.4  47  2 0 0

Cell and atoms:
```
data_Sr2Ti3O8
_chemical_formula_sum 'Sr2 Ti3 O8'
_space_group_name_H-M_alt 'P 1'
_space_group_IT_number 1
_space_group_name_Hall 'P 1'
_cell_length_a 3.833
_cell_length_b 4.015
_cell_length_c 12.804
_cell_angle_alpha 90.20
_cell_angle_beta 90.46
_cell_angle_gamma 90.00
loop_
_atom_site_label
_atom_site_type_symbol
_atom_site_fract_x
_atom_site_fract_y
_atom_site_fract_z
_atom_site_occupancy
Sr1 Sr 0.000 0.000 0.000 1
Sr2 Sr 0.009 0.004 0.326 1
Ti1 Ti 0.496 0.492 0.862 1
Ti2 Ti 0.504 0.496 0.163 1
Ti3 Ti 0.512 0.499 0.464 1
O1 O 0.004 0.549 0.163 1
O2 O 0.013 0.548 0.480 1
O3 O 0.496 0.042 0.861 1
O4 O 0.500 0.532 0.008 1
O5 O 0.504 0.042 0.163 1
O6 O 0.508 0.536 0.318 1
O7 O 0.512 0.049 0.465 1
O8 O 0.996 0.541 0.846 1
```


For Ac2HoIO8, DFT lattice parameters and positions (PBE) gives the calculated powder diffraction line list in this record (λ = 1.5418 Å (Cu Kα)).

Main lines, sorted by position (2θ = 10–90°):
2θ (°)  I/Imax  h k l
23.2  59  1 1 0
24.0  50  1 -1 0
30.1  100  0 1 2
33.6  32  2 0 0
45.3  42  1 2 2
46.2  35  1 -2 2
56.9  11  1 1 4
57.9  21  3 0 2
62.7  12  2 0 4
67.6  11  2 3 2

Cell and atoms:
```
data_Ac2HoIO8
_chemical_formula_sum 'Ac2 Ho1 I1 O8'
_space_group_name_H-M_alt 'P -1'
_space_group_IT_number 2
_space_group_name_Hall '-P 1'
_cell_length_a 5.336
_cell_length_b 5.345
_cell_length_c 7.134
_cell_angle_alpha 90.00
_cell_angle_beta 89.99
_cell_angle_gamma 88.10
loop_
_atom_site_label
_atom_site_type_symbol
_atom_site_fract_x
_atom_site_fract_y
_atom_site_fract_z
_atom_site_occupancy
Ac1 Ac 0.001 0.499 0.245 1
Ho1 Ho 0.500 0.000 0.500 1
I1 I 0.500 0.000 0.000 1
O1 O 0.205 0.294 0.501 1
O2 O 0.245 0.251 0.999 1
O3 O 0.332 0.831 0.204 1
O4 O 0.334 0.829 0.797 1
```


For Nd8YGa6, DFT lattice parameters and positions (PBE) gives the calculated powder diffraction line list in this record (λ = 1.5418 Å (Cu Kα)).

Main lines, sorted by position (2θ = 10–90°):
2θ (°)  I/Imax  h k l
24.5  58  1 1 3
34.8  100  2 -1 6
35.1  95  3 0 0
43.2  13  4 -2 3
50.3  35  2 2 6
62.3  18  1 1 12
62.7  36  5 -1 6
62.9  17  3 3 0
84.2  15  4 1 12
84.5  15  5 2 6

Cell and atoms:
```
data_Nd8YGa6
_chemical_formula_sum 'Nd24 Y3 Ga18'
_space_group_name_H-M_alt 'R -3'
_space_group_IT_number 148
_space_group_name_Hall '-R 3'
_cell_length_a 8.8672
_cell_length_b 8.8672
_cell_length_c 18.9838
_cell_angle_alpha 90.00
_cell_angle_beta 90.00
_cell_angle_gamma 120.00
loop_
_atom_site_label
_atom_site_type_symbol
_atom_site_fract_x
_atom_site_fract_y
_atom_site_fract_z
_atom_site_occupancy
Nd1 Nd 0.0000 0.0000 0.1656 1
Nd2 Nd 0.0007 0.3325 0.7201 1
Y1 Y 0.0000 0.0000 0.5000 1
Ga1 Ga 0.9998 0.3270 0.5556 1
```